1.
Theoretical X-ray powder pattern of Li6MnO3F3 for CuKα, from the GGA+U geometry in the Materials Project.
Lines closer than 0.1° are merged.

Structural model:
Unit cell a=5.170 b=10.298 c=10.639 alpha=73.82 beta=77.16 gamma=80.16
Element x y z (fractional)
Li1 0.000 0.000 0.000
Li2 0.000 0.500 0.000
Li3 0.005 0.249 0.489
Li4 0.005 0.749 0.489
Li5 0.068 0.250 0.190
Li6 0.068 0.750 0.190
Li7 0.154 0.024 0.666
Li8 0.154 0.524 0.666
Li9 0.256 0.060 0.395
Li10 0.256 0.561 0.395
Li11 0.324 0.330 0.867
Li12 0.324 0.830 0.867
Li13 0.411 0.311 0.576
Li14 0.411 0.811 0.576
Li15 0.460 0.043 0.074
Li16 0.460 0.543 0.074
Li17 0.598 0.272 0.324
Li18 0.599 0.772 0.324
Li19 0.612 0.040 0.831
Li20 0.613 0.540 0.831
Li21 0.772 0.029 0.245
Li22 0.772 0.529 0.245
Li23 0.786 0.296 0.753
Li24 0.786 0.796 0.753
Mn1 0.665 0.292 0.033
Mn2 0.665 0.791 0.033
Mn3 0.679 0.043 0.532
Mn4 0.679 0.543 0.532
O1 0.360 0.162 0.506
O2 0.360 0.662 0.506
O3 0.371 0.420 0.992
O4 0.372 0.920 0.992
O5 0.499 0.424 0.686
O6 0.499 0.924 0.686
O7 0.618 0.183 0.923
O8 0.619 0.683 0.923
O9 0.757 0.390 0.145
O10 0.757 0.890 0.145
O11 0.897 0.142 0.375
O12 0.898 0.643 0.375
F1 0.038 0.409 0.558
F2 0.038 0.909 0.558
F3 0.434 0.150 0.216
F4 0.435 0.650 0.216
F5 0.589 0.416 0.410
F6 0.589 0.916 0.410
F7 0.818 0.153 0.658
F8 0.818 0.653 0.658
F9 0.956 0.909 0.843
F10 0.957 0.409 0.843
F11 0.990 0.147 0.084
F12 0.991 0.647 0.084

Peak list (10 most intense, 15° ≤ 2θ ≤ 90°, sorted by position)
17.69°, rel. 100; 18.01°, rel. 52; 28.12°, rel. 19; 28.73°, rel. 19; 29.44°, rel. 22; 41.75°, rel. 30; 42.94°, rel. 27; 43.87°, rel. 32; 61.14°, rel. 8; 62.76°, rel. 8

=====

2.
Theoretical X-ray powder pattern of Zr6Co2O for CuKα, from the GGA+U geometry in the Materials Project.
Lines closer than 0.1° are merged.

Structural model:
Unit cell a=5.866 b=5.866 c=9.358 alpha=90.53 beta=90.53 gamma=31.94
Element x y z (fractional)
Zr1 0.000 0.000 0.000
Zr2 0.001 0.001 0.624
Zr3 0.268 0.268 0.109
Zr4 0.276 0.276 0.501
Zr5 0.547 0.547 0.291
Zr6 0.717 0.717 0.812
Co1 0.404 0.404 0.811
Co2 0.852 0.852 0.300
O1 0.101 0.101 0.435

Peak list (10 most intense, 15° ≤ 2θ ≤ 90°, sorted by position)
31.74°, rel. 30; 32.67°, rel. 45; 32.95°, rel. 41; 34.69°, rel. 100; 37.92°, rel. 38; 38.04°, rel. 40; 40.97°, rel. 26; 41.74°, rel. 25; 57.07°, rel. 21; 64.66°, rel. 22

=====

3.
Theoretical X-ray powder pattern of VPO5 for CuKα, from the GGA+U geometry in the Materials Project.
Lines closer than 0.1° are merged.

Structural model:
Unit cell a=8.735 b=6.954 c=10.026 alpha=58.64 beta=42.83 gamma=78.54
Element x y z (fractional)
V1 0.272 0.728 0.493
V2 0.728 0.272 0.507
V3 0.743 0.757 0.522
V4 0.757 0.743 0.978
P1 0.145 0.577 0.926
P2 0.324 0.897 0.105
P3 0.577 0.145 0.353
P4 0.897 0.324 0.673
O1 0.069 0.791 0.251
O2 0.114 0.459 0.571
O3 0.182 0.515 0.777
O4 0.291 0.951 0.257
O5 0.361 0.999 0.459
O6 0.394 0.679 0.791
O7 0.459 0.114 0.856
O8 0.473 0.723 0.068
O9 0.515 0.182 0.527
O10 0.530 0.692 0.312
O11 0.679 0.394 0.136
O12 0.692 0.530 0.466
O13 0.723 0.473 0.735
O14 0.749 0.993 0.299
O15 0.784 0.938 0.558
O16 0.791 0.069 0.889
O17 0.938 0.784 0.720
O18 0.951 0.291 0.501
O19 0.993 0.749 0.959
O20 0.999 0.361 0.181

Peak list (10 most intense, 15° ≤ 2θ ≤ 90°, sorted by position)
15.73°, rel. 100; 18.43°, rel. 69; 26.23°, rel. 30; 27.99°, rel. 24; 30.68°, rel. 67; 31.62°, rel. 46; 31.76°, rel. 39; 42.69°, rel. 18; 43.20°, rel. 22; 53.94°, rel. 21